# 1
This entry pairs a crystal structure of K5Gd3Pb2 with its calculated powder XRD pattern. Radiation: copper Kα. Structure: a DFT-relaxed cell (GGA-PBE, OQMD).
Neutral-atom scattering factors, no anomalous dispersion.

Largest 10 diffraction maxima, sorted by position, 2θ from 5° to 70°:
index	2θ/deg	I/Imax
0 2 0	5.19	100.0
0 4 0	10.40	25.6
1 3 0	16.29	7.5
0 10 0	26.18	15.7
2 0 0	28.77	21.5
1 5 1	30.62	61.5
1 7 1	33.28	11.0
1 9 1	36.57	9.6
2 10 0	39.30	10.7
3 5 1	52.16	12.7

Atomic structure:
Cell lengths 6.2032, 34.0365, 3.7882 Å; angles 90.00, 90.00, 90.00 degrees
Space group Cmmm (No. 65)
Unique sites:
K1 0.0000 0.0000 0.0000
K2 0.0000 0.1154 0.5000
K3 0.0000 0.3937 0.0000
Gd1 0.0000 0.2839 0.5000
Gd2 0.0000 0.5000 0.5000
Pb1 0.0000 0.2036 0.0000

---

# 2
This entry pairs a crystal structure of Er2Ag2Se3S with its calculated powder XRD pattern. Radiation: copper Kα. Structure: a DFT-relaxed cell (GGA-PBE, OQMD).
Neutral-atom scattering factors, no anomalous dispersion.

Largest 10 diffraction maxima, sorted by position, 2θ from 5° to 70°:
index	2θ/deg	I/Imax
1 1 1	24.96	72.6
2 2 0	26.66	100.0
2 2 -1	34.02	87.8
1 3 -1	36.45	62.9
1 3 1	36.57	72.7
0 4 0	37.53	98.4
4 0 0	38.57	96.2
3 3 -1	45.85	55.9
3 3 1	46.15	59.2
2 0 -2	46.89	82.5

Atomic structure:
Cell lengths 9.3383, 9.5852, 4.2376 Å; angles 90.00, 90.61, 90.00 degrees
Space group Cm (No. 8)
Unique sites:
Er1 0.0000 0.0000 0.0000
Er2 0.0160 0.5000 0.4135
Ag1 0.2610 0.2513 0.2200
Se1 0.0094 0.2977 0.9215
Se2 0.2099 0.0000 0.4938
S1 0.3088 0.5000 0.4796

---

# 3
This entry pairs a crystal structure of TbEr2Zn3CoAu2 with its calculated powder XRD pattern. Radiation: copper Kα. Structure: a DFT-relaxed cell (GGA-PBE, OQMD).
Neutral-atom scattering factors, no anomalous dispersion.

Largest 10 diffraction maxima, sorted by position, 2θ from 5° to 70°:
index	2θ/deg	I/Imax
0 2 0	14.20	12.5
0 3 1	24.73	21.3
1 0 2	33.72	100.0
1 2 2	36.75	48.3
0 5 1	38.15	17.8
0 3 3	43.57	20.7
1 5 1	44.80	20.6
2 0 0	46.06	19.0
2 5 1	61.32	13.1
2 3 3	65.27	12.7

Atomic structure:
Cell lengths 3.9411, 12.4916, 7.1903 Å; angles 90.00, 90.00, 90.00 degrees
Space group Amm2 (No. 38)
Unique sites:
Tb1 0.0000 0.0000 0.0000
Er1 0.0000 0.1943 0.5864
Zn1 0.5000 0.0000 0.6191
Zn2 0.5000 0.1137 0.2792
Co1 0.0000 0.0000 0.3933
Au1 0.5000 0.1686 0.8906